# 1
Structure and computed PXRD pattern of SmNiGe (a crystal structure in Alexandria, relaxed with PBE; CuKα).

a = 7.139 Å, b = 4.314 Å, c = 7.314 Å
α = 90.00°, β = 90.00°, γ = 90.00°
Space group Pnma (No. 62)
Unique sites:
Sm (0.012, 0.250, 0.204) [4 per cell]
Ni (0.190, 0.750, 0.419) [4 per cell]
Ge (0.194, 0.250, 0.589) [4 per cell]

Largest 8 diffraction maxima, low angle first, 2θ = 10–80°:
hkl	d/Å	2theta	I/Imax
1 1 2	2.598	34.52	42
2 1 1	2.574	34.85	100
2 0 2	2.554	35.13	39
3 0 1	2.263	39.84	20
0 2 0	2.157	41.88	33
0 1 3	2.123	42.59	42
2 2 2	1.648	55.78	21
3 1 4	1.374	68.23	25

# 2
Structure and computed PXRD pattern of Sm2P3Rh6 (a crystal structure in Alexandria, relaxed with PBE; CuKα).

a = 7.1266 Å, b = 7.1266 Å, c = 4.1734 Å
α = 90.00°, β = 90.00°, γ = 120.00°
Space group P-62m (No. 189)
Unique sites:
Sm (0.3333, 0.6667, 0.0000) [2 per cell]
P (0.0000, 0.6232, 0.5000) [3 per cell]
Rh (0.0000, 0.2915, 0.5000) [3 per cell]
Rh (0.0000, 0.7798, 0.0000) [3 per cell]

Largest 8 diffraction maxima, low angle first, 2θ = 10–80°:
hkl	d/Å	2theta	I/Imax
2 0 0	3.086	28.93	19
1 1 1	2.710	33.06	100
2 1 0	2.333	38.60	24
0 0 2	2.087	43.36	26
3 0 0	2.057	44.02	28
2 1 1	2.036	44.49	58
3 0 2	1.465	63.50	18
4 1 1	1.282	73.95	22

# 3
Structure and computed PXRD pattern of KNb2PO8 (a crystal structure in Alexandria, relaxed with PBE; CuKα).

a = 13.5998 Å, b = 13.5998 Å, c = 10.5266 Å
α = 90.00°, β = 90.00°, γ = 120.00°
Space group R3 (No. 146, hexagonal axes)
Unique sites:
K (0.0967, 0.6824, 0.0000) [9 per cell]
Nb (0.0236, 0.1693, 0.5651) [9 per cell]
Nb (0.1739, 0.0308, 0.9279) [9 per cell]
P (0.0031, 0.2318, 0.2405) [9 per cell]
O (0.0004, 0.4758, 0.2373) [9 per cell]
O (0.0016, 0.1532, 0.7416) [9 per cell]
O (0.0120, 0.4360, 0.5987) [9 per cell]
O (0.0131, 0.8842, 0.9368) [9 per cell]
O (0.0243, 0.1751, 0.3563) [9 per cell]
O (0.1127, 0.3458, 0.2137) [9 per cell]
O (0.1273, 0.1160, 0.5414) [9 per cell]
O (0.1768, 0.0244, 0.1232) [9 per cell]

Largest 8 diffraction maxima, low angle first, 2θ = 10–80°:
hkl	d/Å	2theta	I/Imax
1 1 0	6.800	13.02	62
0 1 2	4.805	18.46	35
0 0 3	3.509	25.38	49
2 2 0	3.400	26.21	100
1 3 1	3.119	28.62	55
0 1 5	2.073	43.66	25
4 4 0	1.700	53.95	25
5 -3 5	1.661	55.31	26

# 4
Structure and computed PXRD pattern of Ac4Ga3Ir5 (a crystal structure in Alexandria, relaxed with PBE; CuKα).

a = 14.837 Å, b = 4.688 Å, c = 10.228 Å
α = 90.00°, β = 116.08°, γ = 90.00°
Space group C2/m (No. 12)
Unique sites:
Ac (0.052, 0.000, 0.350) [4 per cell]
Ac (0.234, 0.500, 0.220) [4 per cell]
Ga (0.000, 0.000, 0.000) [2 per cell]
Ga (0.103, 0.500, 0.857) [4 per cell]
Ir (0.000, 0.500, 0.000) [2 per cell]
Ir (0.086, 0.500, 0.607) [4 per cell]
Ir (0.225, 0.500, 0.529) [4 per cell]

Largest 8 diffraction maxima, low angle first, 2θ = 10–80°:
hkl	d/Å	2theta	I/Imax
1 1 -2	3.447	25.85	65
2 0 -3	3.404	26.18	60
3 1 1	2.778	32.22	100
1 1 -3	2.710	33.06	65
4 0 -4	2.464	36.47	38
2 0 3	2.412	37.28	79
0 2 0	2.344	38.40	70
2 2 3	1.681	54.59	54

# 5
Structure and computed PXRD pattern of Tm5Hg2Os (a crystal structure in Alexandria, relaxed with PBE; CuKα).

a = 6.789 Å, b = 12.015 Å, c = 4.894 Å
α = 90.00°, β = 90.00°, γ = 90.00°
Space group Pbam (No. 55)
Unique sites:
Tm (0.000, 0.000, 0.000) [2 per cell]
Tm (0.137, 0.290, 0.000) [4 per cell]
Tm (0.168, 0.590, 0.500) [4 per cell]
Hg (0.096, 0.844, 0.500) [4 per cell]
Os (0.000, 0.500, 0.000) [2 per cell]

Largest 8 diffraction maxima, low angle first, 2θ = 10–80°:
hkl	d/Å	2theta	I/Imax
1 3 1	2.820	31.74	33
1 4 0	2.747	32.60	30
2 1 1	2.717	32.97	100
2 3 0	2.589	34.64	26
0 4 1	2.560	35.05	74
2 2 1	2.530	35.48	37
0 0 2	2.447	36.72	62
1 4 2	1.827	49.91	22